Computed powder diffraction line list of ZrCrCuS4 for Cu Kα, from the PBE geometry in the Materials Project.
No peak broadening, texture or thermal motion is included.

Largest 10 diffraction maxima, low angle first, 2θ = 10–90°:
| d (Å) | Position (°2θ) | intensity |
| --- | --- | --- |
| 6.158 | 14.38 | 37 |
| 4.386 | 20.25 | 47 |
| 3.630 | 24.52 | 100 |
| 2.690 | 33.31 | 27 |
| 2.502 | 35.89 | 35 |
| 2.463 | 36.49 | 61 |
| 2.193 | 41.16 | 28 |
| 2.102 | 43.03 | 37 |
| 2.094 | 43.21 | 35 |
| 1.815 | 50.27 | 29 |

Structure:
```
28
Lattice="7.259 0.000 0.000 0.000 6.679 0.000 0.000 0.000 11.629" Properties=species:S:1:pos:R:3 pbc="T T T"
Zr 0.000 1.213 0.000
Zr 0.000 1.971 8.123
Zr 3.630 4.708 2.309
Zr 3.630 5.466 5.815
Cr 0.000 4.336 6.325
Cr 0.000 5.394 9.057
Cr 3.630 1.285 3.242
Cr 3.630 2.343 0.510
Cu 0.000 0.269 4.422
Cu 0.000 3.875 1.151
Cu 3.630 2.803 6.966
Cu 3.630 6.410 10.236
S 0.000 2.381 5.415
S 0.000 3.516 10.504
S 0.000 6.067 1.465
S 0.000 6.523 6.903
S 1.529 0.389 9.791
S 1.729 3.971 7.813
S 1.901 2.708 1.998
S 2.101 6.290 3.976
S 3.630 0.156 1.088
S 3.630 0.612 7.280
S 3.630 3.163 4.689
S 3.630 4.297 11.229
S 5.158 6.290 3.976
S 5.358 2.708 1.998
S 5.531 3.971 7.813
S 5.731 0.389 9.791
```

=====

Computed powder diffraction line list of ZrCrCuS4 for Cu Kα, from the PBE geometry in the Materials Project.
No peak broadening, texture or thermal motion is included.

Largest 10 diffraction maxima, low angle first, 2θ = 10–90°:
| d (Å) | Position (°2θ) | intensity |
| --- | --- | --- |
| 3.217 | 27.73 | 100 |
| 3.202 | 27.86 | 54 |
| 2.997 | 29.81 | 90 |
| 2.655 | 33.76 | 58 |
| 2.521 | 35.61 | 37 |
| 2.328 | 38.68 | 38 |
| 2.203 | 40.98 | 41 |
| 2.189 | 41.24 | 41 |
| 2.164 | 41.73 | 37 |
| 1.779 | 51.36 | 44 |

Structure:
```
28
Lattice="3.558 0.000 0.000 0.000 12.807 0.000 0.000 0.000 11.164" Properties=species:S:1:pos:R:3 pbc="T T T"
Zr 0.000 1.699 0.000
Zr 0.000 4.338 5.250
Zr 0.000 8.469 10.832
Zr 0.000 11.108 5.582
Cr 1.779 2.017 7.210
Cr 1.779 4.650 1.291
Cr 1.779 8.158 6.873
Cr 1.779 10.790 1.629
Cu 0.000 1.179 3.498
Cu 0.000 11.628 9.079
Cu 1.779 5.186 9.014
Cu 1.779 7.622 3.432
S 0.000 0.545 6.713
S 0.000 3.604 7.729
S 0.000 4.233 10.804
S 0.000 5.310 2.824
S 0.000 7.498 8.406
S 0.000 8.575 5.223
S 0.000 9.203 2.147
S 0.000 12.262 1.131
S 1.779 0.941 9.433
S 1.779 2.313 1.775
S 1.779 2.512 4.853
S 1.779 5.971 5.910
S 1.779 6.836 0.328
S 1.779 10.295 10.435
S 1.779 10.494 7.357
S 1.779 11.866 3.851
```

=====

Computed powder diffraction line list of ZrCrCuS4 for Cu Kα, from the PBE geometry in the Materials Project.
No peak broadening, texture or thermal motion is included.

Largest 10 diffraction maxima, low angle first, 2θ = 10–90°:
| d (Å) | Position (°2θ) | intensity |
| --- | --- | --- |
| 4.118 | 21.58 | 100 |
| 3.218 | 27.72 | 37 |
| 3.173 | 28.13 | 26 |
| 3.051 | 29.27 | 57 |
| 3.039 | 29.39 | 27 |
| 2.646 | 33.88 | 26 |
| 2.132 | 42.39 | 29 |
| 1.867 | 48.77 | 28 |
| 1.863 | 48.88 | 27 |
| 1.858 | 49.03 | 27 |

Structure:
```
28
Lattice="6.471 0.000 0.000 0.018 7.431 0.000 1.168 1.933 12.355" Properties=species:S:1:pos:R:3 pbc="T T T"
Zr 1.125 1.879 2.445
Zr 2.163 3.784 6.195
Zr 5.493 5.580 6.160
Zr 6.531 7.485 9.910
Cr 3.306 5.577 9.895
Cr 3.304 1.982 9.827
Cr 4.352 7.381 2.528
Cr 4.350 3.787 2.460
Cu 1.051 5.584 2.460
Cu 2.267 7.457 6.144
Cu 5.389 1.907 6.211
Cu 6.605 3.780 9.895
S 1.100 1.811 4.877
S 1.147 5.612 4.783
S 2.252 3.750 10.668
S 2.387 7.523 10.754
S 2.236 3.831 1.567
S 2.272 7.327 1.620
S 3.304 5.662 7.588
S 3.319 1.866 7.597
S 4.338 7.498 4.759
S 4.352 3.702 4.767
S 5.384 2.037 10.735
S 5.420 5.533 10.788
S 5.269 1.841 1.601
S 5.404 5.614 1.687
S 6.509 3.752 7.572
S 6.557 7.553 7.478
```

=====

Computed powder diffraction line list of ZrCrCuS4 for Cu Kα, from the PBE geometry in the Materials Project.
No peak broadening, texture or thermal motion is included.

Largest 10 diffraction maxima, low angle first, 2θ = 10–90°:
| d (Å) | Position (°2θ) | intensity |
| --- | --- | --- |
| 3.238 | 27.55 | 100 |
| 3.212 | 27.78 | 56 |
| 3.007 | 29.71 | 92 |
| 2.663 | 33.65 | 58 |
| 2.335 | 38.55 | 45 |
| 2.213 | 40.77 | 50 |
| 2.208 | 40.86 | 48 |
| 2.197 | 41.08 | 40 |
| 2.086 | 43.37 | 47 |
| 1.784 | 51.21 | 50 |

Structure:
```
28
Lattice="3.568 0.000 0.000 0.000 11.246 0.000 0.000 0.000 12.846" Properties=species:S:1:pos:R:3 pbc="T T T"
Zr 0.000 1.881 0.000
Zr 0.000 2.245 6.840
Zr 1.784 9.001 0.417
Zr 1.784 9.365 6.423
Cr 0.000 7.333 4.178
Cr 0.000 7.744 10.291
Cr 1.784 3.502 3.868
Cr 1.784 3.913 10.601
Cu 0.000 0.160 9.965
Cu 0.000 5.283 7.584
Cu 1.784 5.964 1.161
Cu 1.784 11.086 3.542
S 0.000 1.812 4.329
S 0.000 3.547 9.072
S 0.000 4.289 12.152
S 0.000 5.025 3.309
S 0.000 7.259 12.630
S 0.000 8.716 8.054
S 0.000 9.809 4.561
S 0.000 10.706 1.206
S 1.784 0.540 7.630
S 1.784 1.438 10.984
S 1.784 2.530 1.631
S 1.784 3.987 6.207
S 1.784 6.222 9.732
S 1.784 6.957 5.729
S 1.784 7.699 2.649
S 1.784 9.434 10.752
```

=====

Computed powder diffraction line list of ZrCrCuS4 for Cu Kα, from the PBE geometry in the Materials Project.
No peak broadening, texture or thermal motion is included.

Largest 10 diffraction maxima, low angle first, 2θ = 10–90°:
| d (Å) | Position (°2θ) | intensity |
| --- | --- | --- |
| 6.226 | 14.22 | 38 |
| 3.389 | 26.29 | 100 |
| 2.751 | 32.54 | 38 |
| 2.623 | 34.19 | 60 |
| 2.567 | 34.96 | 70 |
| 2.417 | 37.19 | 63 |
| 2.293 | 39.30 | 35 |
| 2.005 | 45.22 | 37 |
| 1.770 | 51.65 | 63 |
| 1.765 | 51.80 | 27 |

Structure:
```
56
Lattice="11.760 0.000 0.000 0.000 7.060 0.000 0.000 0.000 12.453" Properties=species:S:1:pos:R:3 pbc="T T T"
Zr 1.110 0.671 0.000
Zr 1.333 4.302 8.127
Zr 4.547 4.302 1.900
Zr 4.770 0.671 6.226
Zr 6.990 6.389 0.000
Zr 7.214 2.757 8.127
Zr 10.427 2.757 1.900
Zr 10.650 6.389 6.226
Cr 1.828 6.141 3.443
Cr 1.903 2.612 3.315
Cr 3.977 2.612 9.541
Cr 4.052 6.141 9.669
Cr 7.708 0.919 3.443
Cr 7.783 4.448 3.315
Cr 9.857 4.448 9.541
Cr 9.932 0.919 9.669
Cu 1.272 4.445 0.003
Cu 1.497 0.779 7.762
Cu 4.383 0.779 1.536
Cu 4.608 4.445 6.229
Cu 7.152 2.615 0.003
Cu 7.377 6.280 7.762
Cu 10.264 6.280 1.536
Cu 10.488 2.615 6.229
S 0.321 4.448 5.787
S 0.368 0.874 2.544
S 0.417 4.345 2.615
S 0.439 1.072 5.721
S 2.528 0.828 10.287
S 2.606 4.405 10.399
S 2.794 6.134 1.273
S 2.846 2.593 1.178
S 3.035 2.593 7.404
S 3.086 6.134 7.499
S 3.274 4.405 4.173
S 3.353 0.828 4.061
S 5.442 1.072 11.947
S 5.463 4.345 8.841
S 5.513 0.874 8.770
S 5.559 4.448 12.014
S 6.201 2.611 5.787
S 6.248 6.185 2.544
S 6.298 2.715 2.615
S 6.319 5.988 5.721
S 8.408 6.231 10.287
S 8.487 2.655 10.399
S 8.675 0.926 1.273
S 8.726 4.466 1.178
S 8.915 4.466 7.404
S 8.966 0.926 7.499
S 9.154 2.655 4.173
S 9.233 6.231 4.061
S 11.322 5.988 11.947
S 11.343 2.715 8.841
S 11.393 6.185 8.770
S 11.440 2.611 12.014
```

=====

Computed powder diffraction line list of ZrCrCuS4 for Cu Kα, from the PBE geometry in the Materials Project.
No peak broadening, texture or thermal motion is included.

Largest 10 diffraction maxima, low angle first, 2θ = 10–90°:
| d (Å) | Position (°2θ) | intensity |
| --- | --- | --- |
| 8.664 | 10.21 | 32 |
| 6.535 | 13.55 | 57 |
| 5.693 | 15.57 | 100 |
| 3.031 | 29.47 | 27 |
| 2.566 | 34.97 | 77 |
| 2.432 | 36.95 | 40 |
| 2.425 | 37.07 | 45 |
| 2.377 | 37.85 | 25 |
| 2.247 | 40.13 | 33 |
| 1.778 | 51.38 | 32 |

Structure:
```
28
Lattice="11.587 0.000 0.000 0.000 3.557 0.000 -0.084 0.000 13.070" Properties=species:S:1:pos:R:3 pbc="T T T"
Zr 0.000 0.000 0.000
Zr 0.422 0.000 5.355
Zr 3.595 1.778 8.911
Zr 5.702 0.000 2.383
Cr 3.000 1.778 3.653
Cr 6.264 0.000 10.200
Cr 8.796 1.778 11.747
Cr 9.242 1.778 6.597
Cu 0.497 1.778 10.706
Cu 2.872 0.000 11.244
Cu 6.468 1.778 4.709
Cu 8.342 0.000 4.026
S 1.537 0.000 2.939
S 1.737 0.000 9.253
S 1.741 1.778 12.638
S 2.144 1.778 5.974
S 4.162 1.778 1.524
S 4.581 0.000 4.556
S 4.700 1.778 11.101
S 5.098 0.000 8.021
S 7.326 0.000 12.349
S 7.548 1.778 2.608
S 7.632 0.000 6.165
S 7.725 1.778 9.599
S 10.079 1.778 0.879
S 10.333 1.778 4.497
S 10.363 0.000 10.878
S 10.588 0.000 7.432
```

=====

Computed powder diffraction line list of CrCuSe2 for Cu Kα, from the PBE geometry in the Materials Project.
No peak broadening, texture or thermal motion is included.

Largest 10 diffraction maxima, low angle first, 2θ = 10–90°:
| d (Å) | Position (°2θ) | intensity |
| --- | --- | --- |
| 3.397 | 26.23 | 18 |
| 3.113 | 28.68 | 100 |
| 3.009 | 29.69 | 38 |
| 2.679 | 33.44 | 62 |
| 2.492 | 36.03 | 22 |
| 2.138 | 42.27 | 71 |
| 1.981 | 45.81 | 70 |
| 1.819 | 50.16 | 80 |
| 1.340 | 70.26 | 18 |
| 1.241 | 76.79 | 19 |

Structure:
```
4
Lattice="1.819 1.050 6.794 -1.819 1.050 6.794 0.000 -2.100 6.794" Properties=species:S:1:pos:R:3 pbc="T T T"
Cr 0.000 0.000 0.000
Cu 0.000 0.000 9.821
Se 0.000 0.000 12.165
Se 0.000 0.000 15.300
```

=====

Computed powder diffraction line list of CrCuSe2 for Cu Kα, from the PBE geometry in the Materials Project.
No peak broadening, texture or thermal motion is included.

Largest 10 diffraction maxima, low angle first, 2θ = 10–90°:
| d (Å) | Position (°2θ) | intensity |
| --- | --- | --- |
| 3.200 | 27.88 | 64 |
| 3.184 | 28.02 | 18 |
| 3.074 | 29.05 | 94 |
| 2.685 | 33.37 | 78 |
| 2.089 | 43.31 | 66 |
| 1.924 | 47.25 | 83 |
| 1.874 | 48.58 | 100 |
| 1.616 | 56.99 | 22 |
| 1.342 | 70.10 | 24 |
| 1.091 | 89.88 | 25 |

Structure:
```
4
Lattice="1.874 1.082 6.369 -1.874 1.082 6.369 0.000 -2.164 6.369" Properties=species:S:1:pos:R:3 pbc="T T T"
Cr 0.000 0.000 0.000
Cu 0.000 0.000 16.366
Se 0.000 0.000 4.869
Se 0.000 0.000 14.025
```